# Ce7Zn2Rh2
Calculated X-ray powder pattern, λ = 1.5418 Å (Cu Kα). Input: a DFT-relaxed cell (PBE, Alexandria).
Neutral-atom scattering factors, no anomalous dispersion.

Top 12 peaks for 2θ from 10° to 90°, sorted by position:
two_theta	I/Imax
26.32	43
28.22	95
30.09	48
30.57	23
33.48	83
35.16	31
38.53	56
39.10	100
45.07	24
46.34	26
49.85	23
58.37	21

Crystal structure
a = 6.6337 Å, b = 6.6337 Å, c = 6.7284 Å
α = 90.00°, β = 90.00°, γ = 107.58°
Positions (direct):
Ce 0.0000 0.0000 0.0000
Ce 0.0000 0.5000 0.2866
Ce 0.0000 0.5000 0.7134
Ce 0.5000 0.0000 0.2866
Ce 0.5000 0.0000 0.7134
Ce 0.5000 0.5000 0.2944
Ce 0.5000 0.5000 0.7056
Zn 0.1533 0.1533 0.5000
Zn 0.8467 0.8467 0.5000
Rh 0.2916 0.7084 0.0000
Rh 0.7084 0.2916 0.0000

# Ce6ZnRh3
Calculated X-ray powder pattern, λ = 1.5418 Å (Cu Kα). Input: a DFT-relaxed cell (PBE, Alexandria).
Neutral-atom scattering factors, no anomalous dispersion.

Top 12 peaks for 2θ from 10° to 90°, sorted by position:
two_theta	I/Imax
16.67	53
29.16	57
30.83	20
33.59	46
33.70	83
33.85	23
34.20	99
36.80	100
41.27	28
48.08	24
50.33	29
54.71	22

Crystal structure
a = 8.7517 Å, b = 8.7517 Å, c = 6.8086 Å
α = 90.00°, β = 90.00°, γ = 103.15°
Positions (direct):
Ce 0.0063 0.9937 0.5000
Ce 0.1035 0.5099 0.4903
Ce 0.2367 0.7633 0.2372
Ce 0.2675 0.4046 0.0413
Ce 0.4046 0.2675 0.5413
Ce 0.4901 0.8965 0.4903
Ce 0.5099 0.1035 0.9903
Ce 0.5954 0.7325 0.0413
Ce 0.7325 0.5954 0.5413
Ce 0.7633 0.2367 0.7372
Ce 0.8965 0.4901 0.9903
Ce 0.9937 0.0063 0.0000
Zn 0.2074 0.7926 0.7752
Zn 0.7926 0.2074 0.2752
Rh 0.0946 0.2622 0.7509
Rh 0.2622 0.0946 0.2509
Rh 0.4412 0.5588 0.3536
Rh 0.5588 0.4412 0.8536
Rh 0.7378 0.9054 0.7509
Rh 0.9054 0.7378 0.2509

# Ce3Ru2
Calculated X-ray powder pattern, λ = 1.5418 Å (Cu Kα). Input: a DFT-relaxed cell (PBE, Alexandria).
Neutral-atom scattering factors, no anomalous dispersion.

Top 12 peaks for 2θ from 10° to 90°, sorted by position:
two_theta	I/Imax
29.43	45
32.21	46
32.55	23
32.80	77
34.13	100
36.82	77
38.77	77
39.06	72
52.77	21
55.16	24
55.82	18
57.42	18

Crystal structure
a = 7.3986 Å, b = 7.3986 Å, c = 7.3986 Å
α = 69.71°, β = 69.71°, γ = 69.71°
Positions (direct):
Ce 0.0000 0.0000 0.0000
Ce 0.1707 0.6632 0.3916
Ce 0.2021 0.2021 0.2021
Ce 0.3368 0.6084 0.8293
Ce 0.3916 0.1707 0.6632
Ce 0.6084 0.8293 0.3368
Ce 0.6632 0.3916 0.1707
Ce 0.7979 0.7979 0.7979
Ce 0.8293 0.3368 0.6084
Ru 0.0457 0.4137 0.8246
Ru 0.1754 0.9543 0.5863
Ru 0.4137 0.8246 0.0457
Ru 0.5863 0.1754 0.9543
Ru 0.8246 0.0457 0.4137
Ru 0.9543 0.5863 0.1754

# Ce5Ru2
Calculated X-ray powder pattern, λ = 1.5418 Å (Cu Kα). Input: a DFT-relaxed cell (PBE, Alexandria).
Neutral-atom scattering factors, no anomalous dispersion.

Top 12 peaks for 2θ from 10° to 90°, sorted by position:
two_theta	I/Imax
31.14	76
31.69	89
32.04	59
32.24	100
33.01	50
34.19	79
35.19	53
35.57	69
36.17	45
37.80	46
41.13	87
57.38	38

Crystal structure
a = 8.7515 Å, b = 8.7515 Å, c = 7.0435 Å
α = 97.32°, β = 97.32°, γ = 41.32°
Positions (direct):
Ce 0.1061 0.3366 0.3421
Ce 0.1154 0.8846 0.7500
Ce 0.2772 0.5272 0.0835
Ce 0.3366 0.1061 0.8421
Ce 0.4728 0.7228 0.4165
Ce 0.5272 0.2772 0.5835
Ce 0.6634 0.8939 0.1579
Ce 0.7228 0.4728 0.9165
Ce 0.8846 0.1154 0.2500
Ce 0.8939 0.6634 0.6579
Ru 0.0876 0.7088 0.4028
Ru 0.2912 0.9124 0.0972
Ru 0.7088 0.0876 0.9028
Ru 0.9124 0.2912 0.5972

# Ce4Ru5
Calculated X-ray powder pattern, λ = 1.5418 Å (Cu Kα). Input: a DFT-relaxed cell (PBE, Alexandria).
Neutral-atom scattering factors, no anomalous dispersion.

Top 12 peaks for 2θ from 10° to 90°, sorted by position:
two_theta	I/Imax
13.33	20
29.13	100
34.95	12
40.03	61
40.22	32
43.07	44
44.62	26
52.84	17
60.39	32
62.55	12
77.02	13
83.17	13

Crystal structure
a = 7.0096 Å, b = 7.0096 Å, c = 7.0096 Å
α = 95.87°, β = 95.87°, γ = 142.69°
Positions (direct):
Ce 0.1090 0.7195 0.8285
Ce 0.2805 0.1090 0.3896
Ce 0.7195 0.8910 0.6104
Ce 0.8910 0.2805 0.1715
Ru 0.0000 0.0000 0.0000
Ru 0.3059 0.5753 0.8812
Ru 0.4247 0.3059 0.7306
Ru 0.5753 0.6941 0.2694
Ru 0.6941 0.4247 0.1188

# Ce4RuSeS2
Calculated X-ray powder pattern, λ = 1.5418 Å (Cu Kα). Input: a DFT-relaxed cell (PBE, Alexandria).
Neutral-atom scattering factors, no anomalous dispersion.

Top 12 peaks for 2θ from 10° to 90°, sorted by position:
two_theta	I/Imax
26.22	7
26.53	7
27.11	13
30.98	100
43.39	13
44.20	24
44.59	24
45.29	12
53.95	6
54.63	7
55.91	12
64.52	8

Crystal structure
a = 7.0751 Å, b = 4.0044 Å, c = 7.1571 Å
α = 90.00°, β = 108.23°, γ = 90.00°
Positions (direct):
Ce 0.2480 0.0000 0.2333
Ce 0.2523 0.5000 0.7611
Ce 0.7477 0.5000 0.2389
Ce 0.7520 0.0000 0.7667
Ru 0.5000 0.0000 0.0000
Se 0.5000 0.5000 0.5000
S 0.0000 0.0000 0.5000
S 0.0000 0.5000 0.0000

# Ce4Sb8Ru3
Calculated X-ray powder pattern, λ = 1.5418 Å (Cu Kα). Input: a DFT-relaxed cell (PBE, Alexandria).
Neutral-atom scattering factors, no anomalous dispersion.

Top 12 peaks for 2θ from 10° to 90°, sorted by position:
two_theta	I/Imax
27.43	11
28.09	12
29.91	18
34.15	100
34.70	22
40.55	48
50.06	9
52.22	12
54.42	12
58.70	16
68.13	11
69.69	24

Crystal structure
a = 4.4489 Å, b = 4.4489 Å, c = 19.0569 Å
α = 90.00°, β = 90.00°, γ = 90.00°
Positions (direct):
Ce 0.0000 0.5000 0.1139
Ce 0.0000 0.5000 0.6202
Ce 0.5000 0.0000 0.3798
Ce 0.5000 0.0000 0.8861
Sb 0.0000 0.0000 0.2464
Sb 0.0000 0.0000 0.7536
Sb 0.0000 0.5000 0.4225
Sb 0.0000 0.5000 0.9294
Sb 0.5000 0.0000 0.0706
Sb 0.5000 0.0000 0.5775
Sb 0.5000 0.5000 0.2463
Sb 0.5000 0.5000 0.7537
Ru 0.0000 0.0000 0.0000
Ru 0.0000 0.0000 0.5000
Ru 0.5000 0.5000 0.5000

# Ce7SbRu2
Calculated X-ray powder pattern, λ = 1.5418 Å (Cu Kα). Input: a DFT-relaxed cell (PBE, Alexandria).
Neutral-atom scattering factors, no anomalous dispersion.

Top 12 peaks for 2θ from 10° to 90°, sorted by position:
two_theta	I/Imax
17.63	71
25.92	45
29.31	44
33.20	55
33.89	91
34.41	100
35.69	81
36.39	32
40.70	41
46.82	30
50.04	60
64.19	33

Crystal structure
a = 7.9402 Å, b = 7.9402 Å, c = 5.0313 Å
α = 90.00°, β = 90.00°, γ = 107.31°
Positions (direct):
Ce 0.0000 0.0000 0.0000
Ce 0.2029 0.4208 0.0000
Ce 0.2290 0.7710 0.5000
Ce 0.4208 0.2029 0.0000
Ce 0.5792 0.7971 0.0000
Ce 0.7710 0.2290 0.5000
Ce 0.7971 0.5792 0.0000
Sb 0.5000 0.5000 0.5000
Ru 0.1964 0.8036 0.0000
Ru 0.8036 0.1964 0.0000

Please write out number 6 again, unchanged.
# Ce4RuSeS2
Calculated X-ray powder pattern, λ = 1.5418 Å (Cu Kα). Input: a DFT-relaxed cell (PBE, Alexandria).
Neutral-atom scattering factors, no anomalous dispersion.

Top 12 peaks for 2θ from 10° to 90°, sorted by position:
two_theta	I/Imax
26.22	7
26.53	7
27.11	13
30.98	100
43.39	13
44.20	24
44.59	24
45.29	12
53.95	6
54.63	7
55.91	12
64.52	8

Crystal structure
a = 7.0751 Å, b = 4.0044 Å, c = 7.1571 Å
α = 90.00°, β = 108.23°, γ = 90.00°
Positions (direct):
Ce 0.2480 0.0000 0.2333
Ce 0.2523 0.5000 0.7611
Ce 0.7477 0.5000 0.2389
Ce 0.7520 0.0000 0.7667
Ru 0.5000 0.0000 0.0000
Se 0.5000 0.5000 0.5000
S 0.0000 0.0000 0.5000
S 0.0000 0.5000 0.0000